Pm3Er2Cd2: calculated powder diffractogram (Cu Kα, 1.54184 Å), based on DFT lattice parameters and positions (GGA-PBE).

Atomic structure:
Lattice parameters (Å, degrees): 5.4441 5.4441 24.0907 90.00 90.00 120.00
Space group R-3m (No. 166, hexagonal axes)
Unique sites:
Pm 0.0000 0.0000 0.0000 x3
Pm 0.0000 0.0000 0.1583 x6
Er 0.0000 0.0000 0.4267 x6
Cd 0.0000 0.0000 0.2895 x6

Main lines, in order of rising 2θ (2θ from 10° to 90°):
2θ/deg  Rel. int.
26.4  9
32.2  92
32.9  100
46.7  32
57.0  18
58.3  33
58.8  19
69.0  12
77.0  12
78.2  14

Tb4Ag: calculated powder diffractogram (Cu Kα, 1.54184 Å), based on DFT lattice parameters and positions (GGA-PBE).

Atomic structure:
Lattice parameters (Å, degrees): 12.0603 15.2714 6.3042 90.00 90.00 90.00
Space group Fdd2 (No. 43)
Unique sites:
Tb 0.0631 0.3046 0.0000 x16
Tb 0.0640 0.3953 0.5215 x16
Ag 0.0000 0.0000 0.4444 x8

Main lines, in order of rising 2θ (2θ from 10° to 90°):
2θ/deg  Rel. int.
31.7  53
31.9  63
32.0  66
33.4  100
34.2  53
39.7  16
44.0  15
49.7  16
53.5  22
68.3  26

TbPmEr: calculated powder diffractogram (Cu Kα, 1.54184 Å), based on DFT lattice parameters and positions (GGA-PBE).

Atomic structure:
Lattice parameters (Å, degrees): 3.6792 17.3669 6.0909 90.00 90.00 90.00
Space group Cmc2_1 (No. 36)
Unique sites:
Tb 0.0000 0.0823 0.0000 x4
Pm 0.0000 0.2498 0.3359 x4
Er 0.0000 0.4164 0.9992 x4

Main lines, in order of rising 2θ (2θ from 10° to 90°):
2θ/deg  Rel. int.
28.8  18
29.3  15
30.9  36
31.1  22
32.4  100
36.0  15
43.1  11
51.7  20
55.9  21
59.5  11

TbPrMg3: calculated powder diffractogram (Cu Kα, 1.54184 Å), based on DFT lattice parameters and positions (GGA-PBE).

Atomic structure:
Lattice parameters (Å, degrees): 6.3169 6.3169 24.7601 90.00 90.00 120.00
Space group R-3m (No. 166, hexagonal axes)
Unique sites:
Tb 0.0000 0.0000 0.1654 x6
Pr 0.0000 0.0000 0.4316 x6
Mg 0.0092 0.5046 0.3813 x18

Main lines, in order of rising 2θ (2θ from 10° to 90°):
2θ/deg  Rel. int.
10.7  86
24.2  31
28.3  99
30.1  66
30.3  100
33.3  46
35.9  25
37.6  29
51.2  28
53.0  27

RbGeB: calculated powder diffractogram (Cu Kα, 1.54184 Å), based on DFT lattice parameters and positions (GGA-PBE).

Atomic structure:
Lattice parameters (Å, degrees): 4.8883 5.2651 11.2961 90.00 90.00 90.00
Space group Immm (No. 71)
Unique sites:
Rb 0.0000 0.0000 0.1930 x4
Ge 0.0000 0.2595 0.5000 x4
B 0.1667 0.5000 0.0000 x4

Main lines, in order of rising 2θ (2θ from 10° to 90°):
2θ/deg  Rel. int.
19.8  21
24.9  45
29.2  32
29.5  53
30.0  100
36.8  33
37.7  43
39.7  51
53.7  36
56.9  38

Zr4Ti: calculated powder diffractogram (Cu Kα, 1.54184 Å), based on DFT lattice parameters and positions (GGA-PBE).

Atomic structure:
Lattice parameters (Å, degrees): 5.6763 13.7563 5.6716 90.00 90.00 90.00
Space group Ibam (No. 72)
Unique sites:
Zr 0.1187 0.0950 0.0000 x8
Zr 0.1318 0.3148 0.0000 x8
Ti 0.0000 0.5000 0.2500 x4

Main lines, in order of rising 2θ (2θ from 10° to 90°):
2θ/deg  Rel. int.
31.5  44
34.3  65
36.0  100
36.3  48
40.6  26
41.3  15
48.8  20
58.0  26
59.1  20
68.7  14

PaSe2O5: calculated powder diffractogram (Cu Kα, 1.54184 Å), based on DFT lattice parameters and positions (GGA-PBE).

Atomic structure:
Lattice parameters (Å, degrees): 4.2386 6.1289 12.3271 90.00 90.06 90.00
Space group P2_1/m (No. 11)
Unique sites:
Pa 0.1309 0.2500 0.2500 x2
Se 0.1389 0.2500 0.6199 x2
Se 0.1397 0.2500 0.8800 x2
O 0.1188 0.5266 0.1317 x4
O 0.1195 0.5266 0.3684 x4
O 0.3677 0.7500 0.7500 x2

Main lines, in order of rising 2θ (2θ from 10° to 90°):
2θ/deg  Rel. int.
14.4  81
16.2  32
21.0  54
25.5  68
26.1  100
29.1  31
33.7  38
39.4  29
42.5  29
57.4  25

CsLaCdO3: calculated powder diffractogram (Cu Kα, 1.54184 Å), based on DFT lattice parameters and positions (GGA-PBE).

Atomic structure:
Lattice parameters (Å, degrees): 7.4042 3.8497 10.1178 90.00 108.14 90.00
Space group P2_1/m (No. 11)
Unique sites:
Cs 0.1634 0.2500 0.2003 x2
La 0.3669 0.2500 0.8471 x2
Cd 0.1708 0.7500 0.5582 x2
O 0.0418 0.2500 0.6443 x2
O 0.3266 0.7500 0.9892 x2
O 0.4313 0.7500 0.7195 x2

Main lines, in order of rising 2θ (2θ from 10° to 90°):
2θ/deg  Rel. int.
13.1  55
24.1  35
26.3  54
27.8  36
29.3  93
29.7  30
30.0  100
43.7  41
47.2  29
51.0  35

Li17Ca2Hg3: calculated powder diffractogram (Cu Kα, 1.54184 Å), based on DFT lattice parameters and positions (GGA-PBE).

Atomic structure:
Lattice parameters (Å, degrees): 10.6882 10.6882 15.1182 90.00 90.00 120.00
Space group R-3m (No. 166, hexagonal axes)
Unique sites:
Li 0.0000 0.0000 0.0979 x6
Li 0.0000 0.2580 0.0000 x18
Li 0.0000 0.5000 0.5000 x9
Li 0.0190 0.5095 0.1769 x18
Ca 0.0000 0.0000 0.3350 x6
Hg 0.0000 0.5000 0.0000 x9

Main lines, in order of rising 2θ (2θ from 10° to 90°):
2θ/deg  Rel. int.
11.2  61
15.1  32
17.6  67
20.1  100
22.5  76
30.5  36
33.5  50
35.5  33
38.1  53
49.7  31

Nd3Sm12Er: calculated powder diffractogram (Cu Kα, 1.54184 Å), based on DFT lattice parameters and positions (GGA-PBE).

Atomic structure:
Lattice parameters (Å, degrees): 5.1319 5.1319 20.5200 90.00 90.00 90.00
Space group P4/mmm (No. 123)
Unique sites:
Nd 0.0000 0.0000 0.0000 x1
Nd 0.0000 0.0000 0.2512 x2
Sm 0.0000 0.5000 0.1256 x4
Sm 0.0000 0.5000 0.3769 x4
Sm 0.5000 0.5000 0.0000 x1
Sm 0.5000 0.5000 0.2516 x2
Sm 0.5000 0.5000 0.5000 x1
Er 0.0000 0.0000 0.5000 x1

Main lines, in order of rising 2θ (2θ from 10° to 90°):
2θ/deg  Rel. int.
30.2  100
35.0  51
50.3  36
59.8  43
62.7  12
73.9  6
81.8  18
84.4  16

AcNi6Sn6: calculated powder diffractogram (Cu Kα, 1.54184 Å), based on DFT lattice parameters and positions (GGA-PBE).

Atomic structure:
Lattice parameters (Å, degrees): 5.5236 8.8598 9.5808 90.00 90.00 90.00
Space group Immm (No. 71)
Unique sites:
Ac 0.0000 0.0000 0.0000 x2
Ni 0.0000 0.2516 0.5000 x4
Ni 0.2500 0.2500 0.2500 x8
Sn 0.0000 0.0000 0.3417 x4
Sn 0.0000 0.3428 0.0000 x4
Sn 0.0000 0.5000 0.3213 x4

Main lines, in order of rising 2θ (2θ from 10° to 90°):
2θ/deg  Rel. int.
32.4  96
37.6  37
38.4  100
39.4  31
40.7  23
43.0  34
57.8  19
61.8  24
67.8  30
72.6  34

Li2Tm2USe6: calculated powder diffractogram (Cu Kα, 1.54184 Å), based on DFT lattice parameters and positions (GGA-PBE).

Atomic structure:
Lattice parameters (Å, degrees): 7.0294 12.1808 6.8963 90.00 109.76 90.00
Space group C2/m (No. 12)
Unique sites:
Li 0.0000 0.1688 0.0000 x4
Tm 0.0000 0.3339 0.5000 x4
U 0.0000 0.0000 0.5000 x2
Se 0.2465 0.1685 0.7469 x8
Se 0.2480 0.0000 0.2535 x4

Main lines, in order of rising 2θ (2θ from 10° to 90°):
2θ/deg  Rel. int.
13.6  67
25.8  45
31.4  100
34.4  20
41.4  14
44.6  38
45.3  36
46.9  19
55.6  20
73.9  11